(1)
Calculated PXRD pattern
Compound: LiFeCo2
Radiation: copper Kα
Structure: a crystal structure in Alexandria, relaxed with PBE
No peak broadening, texture or thermal motion is included.

Cell and atoms:
a = 2.413 Å, b = 3.984 Å, c = 4.735 Å
α = 90.00°, β = 98.59°, γ = 90.00°
Space group P2/m (No. 10)
Symmetry-distinct sites (fractional):
Li: 0.000 0.000 0.000 [1 per cell]
Fe: 0.500 0.000 0.500 [1 per cell]
Co: 0.253 0.500 0.750 [2 per cell]

The 10 most intense peaks (5 to 70 degrees two-theta), sorted by position:
2theta, intensity
19.0, 41.3
22.3, 34.1
29.4, 27.8
38.5, 8.1
44.9, 100.0
45.2, 49.1
45.5, 47.9
46.1, 92.4
66.1, 28.6
66.5, 14.0

(2)
Calculated PXRD pattern
Compound: LiFeCo2
Radiation: copper Kα
Structure: a crystal structure in Alexandria, relaxed with PBE
No peak broadening, texture or thermal motion is included.

Cell and atoms:
a = 2.4962 Å, b = 2.4962 Å, c = 25.7027 Å
α = 90.00°, β = 90.00°, γ = 120.00°
Space group R-3m (No. 166, hexagonal axes)
Symmetry-distinct sites (fractional):
Li: 0.0000 0.0000 0.0000 [3 per cell]
Fe: 0.0000 0.0000 0.5000 [3 per cell]
Co: 0.0000 0.0000 0.2473 [6 per cell]

The 10 most intense peaks (5 to 70 degrees two-theta), sorted by position:
2theta, intensity
10.3, 100.0
20.7, 20.1
41.9, 7.0
42.2, 29.7
42.4, 9.2
44.2, 79.1
45.5, 3.8
48.9, 7.6
50.9, 50.2
58.1, 5.4

Q: Number 2 is which compound?
A: LiFeCo2

Please write out number 1 again, unchanged.
Calculated PXRD pattern
Compound: LiFeCo2
Radiation: copper Kα
Structure: a crystal structure in Alexandria, relaxed with PBE
No peak broadening, texture or thermal motion is included.

Cell and atoms:
a = 2.413 Å, b = 3.984 Å, c = 4.735 Å
α = 90.00°, β = 98.59°, γ = 90.00°
Space group P2/m (No. 10)
Symmetry-distinct sites (fractional):
Li: 0.000 0.000 0.000 [1 per cell]
Fe: 0.500 0.000 0.500 [1 per cell]
Co: 0.253 0.500 0.750 [2 per cell]

The 10 most intense peaks (5 to 70 degrees two-theta), sorted by position:
2theta, intensity
19.0, 41.3
22.3, 34.1
29.4, 27.8
38.5, 8.1
44.9, 100.0
45.2, 49.1
45.5, 47.9
46.1, 92.4
66.1, 28.6
66.5, 14.0